1.
Starting from a structure optimized by DFT (PBE), the X-ray diffraction stick pattern of HoN was calculated for Cu Kα, 1.54184 Å.
Peak positions follow from Bragg's law for the DFT cell and can differ from measured ones.

Atomic structure:
```
data_HoN
_cell_length_a 4.8791
_cell_length_b 4.8791
_cell_length_c 4.8791
_cell_angle_alpha 90.00
_cell_angle_beta 90.00
_cell_angle_gamma 90.00
_space_group_name_H-M_alt 'F m -3 m'
_space_group_IT_number 225
_space_group_name_Hall '-F 4 2 3'
loop_
_atom_site_label
_atom_site_fract_x
_atom_site_fract_y
_atom_site_fract_z
_atom_site_occupancy
Ho1 0.0000 0.0000 0.0000 1
N1 0.0000 0.0000 0.5000 1
```

Most intense lines, 2θ = 10–90°, by angle:
hkl  2theta  d (Å)  I/Imax
1 1 1  31.77  2.817  100
2 0 0  36.84  2.440  71
2 2 0  53.09  1.725  49
3 1 1  63.21  1.471  44
2 2 2  66.37  1.408  16
4 0 0  78.40  1.220  8
3 3 1  87.06  1.119  19
4 2 0  89.92  1.091  23

2.
Starting from a structure optimized by DFT (PBE), the X-ray diffraction stick pattern of Na2HoNb5O15 was calculated for Cu Kα, 1.54184 Å.
Peak positions follow from Bragg's law for the DFT cell and can differ from measured ones.

Atomic structure:
```
data_Na2HoNb5O15
_cell_length_a 12.6507
_cell_length_b 12.6507
_cell_length_c 3.9366
_cell_angle_alpha 90.00
_cell_angle_beta 90.00
_cell_angle_gamma 90.00
_space_group_name_H-M_alt 'P 4/m b m'
_space_group_IT_number 127
_space_group_name_Hall '-P 4 2ab'
loop_
_atom_site_label
_atom_site_fract_x
_atom_site_fract_y
_atom_site_fract_z
_atom_site_occupancy
Na1 0.1731 0.3269 0.0000 1
Ho1 0.0000 0.0000 0.0000 1
Nb1 0.0000 0.5000 0.5000 1
Nb2 0.0784 0.7881 0.5000 1
O1 0.0000 0.5000 0.0000 1
O2 0.0024 0.3408 0.5000 1
O3 0.0559 0.1299 0.5000 1
O4 0.0815 0.8133 0.0000 1
O5 0.2248 0.7248 0.5000 1
```

Most intense lines, 2θ = 10–90°, by angle:
hkl  2theta  d (Å)  I/Imax
2 0 0  14.00  6.325  56
0 0 1  22.59  3.937  35
3 2 0  25.38  3.509  44
4 1 0  29.10  3.068  45
2 2 1  30.24  2.955  35
4 2 0  31.63  2.829  50
3 1 1  31.89  2.806  100
6 2 0  45.34  2.000  36
0 0 2  46.12  1.968  32
5 5 1  56.50  1.629  54

3.
Starting from a structure optimized by DFT (PBE), the X-ray diffraction stick pattern of NaHoP2O7 was calculated for Cu Kα, 1.54184 Å.
Peak positions follow from Bragg's law for the DFT cell and can differ from measured ones.

Atomic structure:
```
data_NaHoP2O7
_cell_length_a 8.7449
_cell_length_b 5.4185
_cell_length_c 14.1731
_cell_angle_alpha 90.00
_cell_angle_beta 110.16
_cell_angle_gamma 90.00
_space_group_name_H-M_alt 'P 1 21/c 1'
_space_group_IT_number 14
_space_group_name_Hall '-P 2ybc'
loop_
_atom_site_label
_atom_site_fract_x
_atom_site_fract_y
_atom_site_fract_z
_atom_site_occupancy
Na1 0.0561 0.2228 0.3355 1
Ho1 0.2483 0.2323 0.6467 1
P1 0.1877 0.7141 0.4771 1
P2 0.3143 0.7464 0.3127 1
O1 0.0281 0.7028 0.8967 1
O2 0.1902 0.0647 0.9978 1
O3 0.2159 0.5103 0.2715 1
O4 0.2202 0.5259 0.7566 1
O5 0.2340 0.6335 0.0730 1
O6 0.3293 0.7287 0.9298 1
O7 0.4884 0.7337 0.3146 1
```

Most intense lines, 2θ = 10–90°, by angle:
hkl  2theta  d (Å)  I/Imax
1 0 -2  13.95  6.348  55
1 1 0  19.63  4.522  17
0 1 2  21.15  4.201  100
2 0 0  21.65  4.105  64
2 1 -2  26.85  3.321  29
1 1 -4  30.18  2.961  44
3 0 -2  30.75  2.907  22
0 2 0  33.06  2.709  24
2 1 2  33.69  2.661  30
0 2 4  43.06  2.100  14

4.
Starting from a structure optimized by DFT (PBE), the X-ray diffraction stick pattern of NaHoPd6O8 was calculated for Cu Kα, 1.54184 Å.
Peak positions follow from Bragg's law for the DFT cell and can differ from measured ones.

Atomic structure:
```
data_NaHoPd6O8
_cell_length_a 5.8281
_cell_length_b 5.8281
_cell_length_c 5.8281
_cell_angle_alpha 90.00
_cell_angle_beta 90.00
_cell_angle_gamma 90.00
_space_group_name_H-M_alt 'P m -3'
_space_group_IT_number 200
_space_group_name_Hall '-P 2 2 3'
loop_
_atom_site_label
_atom_site_fract_x
_atom_site_fract_y
_atom_site_fract_z
_atom_site_occupancy
Na1 0.0000 0.0000 0.0000 1
Ho1 0.5000 0.5000 0.5000 1
Pd1 0.0000 0.2493 0.5000 1
O1 0.2608 0.2608 0.2608 1
```

Most intense lines, 2θ = 10–90°, by angle:
hkl  2theta  d (Å)  I/Imax
1 0 0  15.20  5.828  19
2 0 0  30.68  2.914  12
2 0 1  34.41  2.606  100
2 1 1  37.81  2.379  61
2 2 2  54.54  1.682  14
3 2 0  56.97  1.616  24
3 1 2  59.33  1.558  33
4 0 0  63.89  1.457  17
4 1 2  74.63  1.272  20
3 3 2  76.70  1.243  7